Computed powder X-ray diffraction pattern of SmZrSc6 for CuKα, from a structure optimized by DFT (PBE).
Peak positions follow from Bragg's law for the DFT cell and can differ from measured ones.

The 10 most intense peaks (2θ from 5° to 70°), sorted by position:
- d 4.685, 2θ = 18.94°, I 92
- d 4.632, 2θ = 19.16°, I 174
- d 3.294, 2θ = 27.07°, I 153
- d 2.684, 2θ = 33.38°, I 1000
- d 2.343, 2θ = 38.43°, I 162
- d 2.316, 2θ = 38.89°, I 326
- d 1.647, 2θ = 55.82°, I 206
- d 1.638, 2θ = 56.17°, I 105
- d 1.410, 2θ = 66.31°, I 113
- d 1.398, 2θ = 66.93°, I 238

a = 4.632 Å, b = 4.632 Å, c = 9.370 Å
α = 90.00°, β = 90.00°, γ = 90.00°
Space group P4/mmm (No. 123)
Inequivalent atoms, fractional coordinates:
Sm 0.000 0.000 0.000
Zr 0.000 0.000 0.500
Sc 0.000 0.500 0.263
Sc 0.500 0.500 0.000
Sc 0.500 0.500 0.500